Structure and simulated PXRD pattern of Cs2CoH8C4O12 (a cell relaxed with GGA+U; Cu Kα).
Kinematic intensities with the Lorentz-polarization factor, no thermal factor.

Most intense lines, 2θ from 10° to 90°, in order of rising 2θ:
d/Å	I (rel.)
4.800	100
4.075	38
3.671	43
3.546	35
3.381	27
3.243	60
3.120	29
2.935	35
2.685	28
2.625	30

Crystal structure
```
54
Lattice="8.150 -3.569 0.000 8.150 3.569 0.000 -8.044 0.000 10.560" Properties=species:S:1:pos:R:3 pbc="T T T"
Cs -1.490 2.220 9.387
Cs 5.724 2.220 6.453
Cs 2.532 -2.220 4.107
Cs 9.746 -2.220 1.173
Co 2.117 2.431 7.920
Co 6.139 -2.431 2.640
H 4.769 2.478 2.752
H -4.182 0.265 9.169
H -0.160 -0.265 3.888
H 7.509 2.478 2.528
H 3.852 1.178 3.883
H 4.915 0.418 3.049
H 8.426 1.178 1.398
H 7.363 0.418 2.231
H 0.893 -0.418 8.329
H -0.170 -1.178 9.163
H 3.340 -0.418 7.512
H 4.404 -1.178 6.678
H 0.746 -2.478 8.032
H 8.416 0.265 6.672
H 12.438 -0.265 1.392
H 3.487 -2.478 7.809
C 2.020 1.324 5.277
C 0.918 0.581 6.072
C 4.940 -0.581 0.791
C 10.258 1.324 0.003
C -2.002 -1.324 10.557
C 3.316 0.581 9.769
C 7.338 -0.581 4.489
C 6.236 -1.324 5.283
O -4.522 0.181 8.232
O 2.637 2.257 5.887
O -0.499 -0.181 2.952
O 2.259 0.938 4.102
O 4.241 0.287 0.222
O 1.597 2.257 9.953
O 0.821 0.900 7.309
O 4.837 1.192 3.671
O 0.219 -0.287 5.502
O 7.441 1.192 1.609
O -1.763 -0.938 9.382
O 3.412 0.900 8.532
O 4.844 -0.900 2.029
O 10.019 0.938 1.178
O 0.814 -1.192 8.952
O 8.037 0.287 5.059
O 3.419 -1.192 6.889
O 7.434 -0.900 3.251
O 6.659 -2.257 0.607
O 4.014 -0.287 10.339
O 5.997 -0.938 6.459
O 8.755 0.181 7.609
O 5.619 -2.257 4.673
O 12.777 -0.181 2.329
```